[1]
# Li4V2SiO8
Calculated X-ray diffraction stick pattern, CuKα. Input: DFT lattice parameters and positions (GGA+U).
No peak broadening, texture or thermal motion is included.

Structure:
```
Li4V2SiO8
1.0
8.2738 0.0000 0.0000
0.0000 10.9336 0.0000
-1.8762 0.0000 8.0637
Li V Si O
16 8 4 32
direct
0.0352 0.0784 0.2810
0.0352 0.4216 0.7810
0.1005 0.1689 0.5963
0.1005 0.3311 0.0963
0.1629 0.6663 0.6625
0.1629 0.8337 0.1625
0.3566 0.1632 0.3427
0.3566 0.3368 0.8427
0.6434 0.6632 0.1573
0.6434 0.8368 0.6573
0.8371 0.1663 0.8375
0.8371 0.3337 0.3375
0.8995 0.6689 0.9037
0.8995 0.8311 0.4037
0.9648 0.5784 0.2190
0.9648 0.9216 0.7190
0.2122 0.0870 0.9690
0.2122 0.4130 0.4690
0.2644 0.5893 0.0419
0.2644 0.9107 0.5419
0.7356 0.0893 0.4581
0.7356 0.4107 0.9581
0.7878 0.5870 0.5310
0.7878 0.9130 0.0310
0.4103 0.6659 0.4138
0.4103 0.8341 0.9138
0.5897 0.1659 0.0862
0.5897 0.3341 0.5862
0.0455 0.0885 0.7921
0.0455 0.4115 0.2921
0.0968 0.6661 0.0907
0.0968 0.8339 0.5907
0.1649 0.1572 0.1425
0.1649 0.3428 0.6425
0.2419 0.0631 0.4795
0.2419 0.4369 0.9795
0.2794 0.5814 0.4914
0.2794 0.9186 0.9914
0.3310 0.6953 0.8831
0.3310 0.8047 0.3831
0.4088 0.1728 0.9514
0.4088 0.3272 0.4514
0.4421 0.6142 0.2363
0.4421 0.8858 0.7363
0.5579 0.1142 0.2637
0.5579 0.3858 0.7637
0.5912 0.6728 0.5486
0.5912 0.8272 0.0486
0.6690 0.1953 0.6169
0.6690 0.3047 0.1169
0.7206 0.0814 0.0086
0.7206 0.4186 0.5086
0.7581 0.5631 0.0205
0.7581 0.9369 0.5205
0.8351 0.6572 0.3575
0.8351 0.8428 0.8575
0.9032 0.1661 0.4093
0.9032 0.3339 0.9093
0.9545 0.5885 0.7079
0.9545 0.9115 0.2079
```

Principal peaks in the range 2θ = 10–90°, in order of falling intensity:
2theta  I/Imax
21.26  100
22.05  99
32.11  57
34.86  50
32.76  32
58.07  30

---

[2]
# LiVSi2O6
Calculated X-ray diffraction stick pattern, CuKα. Input: DFT lattice parameters and positions (GGA+U).
No peak broadening, texture or thermal motion is included.

Structure:
```
LiVSi2O6
1.0
9.4061 0.0000 0.0000
0.0000 8.7585 0.0000
-1.1908 0.0000 5.2338
Li V Si O
4 4 8 24
direct
0.2477 0.0042 0.0114
0.2477 0.4958 0.5114
0.7523 0.5042 0.4886
0.7523 0.9958 0.9886
0.2504 0.6531 0.0149
0.2504 0.8469 0.5149
0.7496 0.1531 0.4851
0.7496 0.3469 0.9851
0.0483 0.1612 0.2651
0.0483 0.3388 0.7651
0.4518 0.1610 0.7114
0.4518 0.3390 0.2114
0.5482 0.6610 0.7886
0.5482 0.8390 0.2886
0.9517 0.6612 0.2349
0.9517 0.8388 0.7349
0.1069 0.2332 0.0216
0.1069 0.2668 0.5216
0.1206 0.5065 0.8015
0.1206 0.9935 0.3015
0.1318 0.6662 0.3029
0.1318 0.8338 0.8029
0.3675 0.6643 0.7223
0.3675 0.8357 0.2223
0.3738 0.5019 0.2326
0.3738 0.9981 0.7326
0.3976 0.2259 0.4176
0.3976 0.2741 0.9176
0.6024 0.7259 0.0824
0.6024 0.7741 0.5824
0.6262 0.0019 0.2674
0.6262 0.4981 0.7674
0.6325 0.1643 0.7777
0.6325 0.3357 0.2777
0.8682 0.1662 0.1971
0.8682 0.3338 0.6971
0.8794 0.0065 0.6985
0.8794 0.4935 0.1985
0.8931 0.7332 0.4784
0.8931 0.7668 0.9784
```

Principal peaks in the range 2θ = 10–90°, in order of falling intensity:
2theta  I/Imax
29.60  100
30.98  69
13.98  45
24.97  39
35.52  36
20.28  36